The following is a computed powder XRD pattern of ZrTe6Cl6. It was derived from DFT lattice parameters and positions (PBE), using Cu Kα X-rays.
Lines closer than 0.1° are merged.

Cell and atoms:
Cell lengths 11.3815, 11.4410, 13.1411 Å; angles 90.00, 90.00, 90.00 degrees
Space group Pbcm (No. 57)
Inequivalent atoms, fractional coordinates:
1 Zr 0.2368 0.2075 0.2500 (multiplicity 4)
2 Te 0.1141 0.6354 0.5315 (multiplicity 8)
3 Te 0.2260 0.7419 0.7500 (multiplicity 4)
4 Te 0.3152 0.6009 0.0963 (multiplicity 8)
5 Te 0.4763 0.7500 0.0000 (multiplicity 4)
6 Cl 0.0805 0.0571 0.2500 (multiplicity 4)
7 Cl 0.1356 0.1717 0.6183 (multiplicity 8)
8 Cl 0.3436 0.0904 0.1150 (multiplicity 8)
9 Cl 0.4015 0.1547 0.7500 (multiplicity 4)

Peak list (8 most intense, 2θ from 15° to 90°, most intense first)
2θ = 28.2°, d = 3.162 Å, I 100.0, hkl 3 2 0
2θ = 25.9°, d = 3.438 Å, I 95.2, hkl 2 2 2
2θ = 15.5°, d = 5.708 Å, I 89.6, hkl 0 2 0
2θ = 26.8°, d = 3.326 Å, I 76.2, hkl 1 2 3
2θ = 17.4°, d = 5.095 Å, I 58.7, hkl 1 1 2
2θ = 35.0°, d = 2.564 Å, I 57.8, hkl 3 2 3
2θ = 20.6°, d = 4.302 Å, I 50.1, hkl 2 0 2
2θ = 31.4°, d = 2.848 Å, I 43.9, hkl 0 2 4